Simulated powder XRD pattern
Compound: RbNi2AgF8
Radiation: Cu Kα
Structure: a DFT-relaxed cell (GGA+U, Alexandria)

The 8 most intense peaks (15° ≤ 2θ ≤ 90°), sorted by position:
2θ/deg	I/Imax	hkl
23.07	100	1 1 0
25.74	62	1 -1 0
31.75	32	0 1 2
32.27	33	0 1 -2
35.08	25	2 0 0
37.52	26	2 1 0
45.88	23	1 2 2
46.99	22	1 2 -2

Atomic structure:
a = 5.147 Å, b = 5.216 Å, c = 6.642 Å
α = 88.91°, β = 88.97°, γ = 83.81°
Atoms (fractional coordinates):
Rb  0.000  0.000  0.000
Ni  0.499  0.500  0.739
Ni  0.501  0.500  0.261
Ag  0.000  0.000  0.500
F  0.154  0.727  0.701
F  0.157  0.730  0.302
F  0.377  0.296  0.504
F  0.398  0.305  0.004
F  0.602  0.695  0.996
F  0.623  0.704  0.496
F  0.843  0.270  0.698
F  0.846  0.273  0.299